For Ac5Tb2Pr5, DFT lattice parameters and positions (GGA-PBE) gives the calculated XRD peak list in this record (Cu Kα, 1.54184 Å).

Peak list (10 most intense, 10° ≤ 2θ ≤ 80°, by intensity)
2θ (°)	I_rel
29.65	100.0
29.52	73.0
29.44	72.4
29.81	49.9
52.79	30.5
58.33	30.5
52.51	28.6
42.34	28.2
52.66	19.8
42.44	17.4

Cell and atoms:
```
12
Lattice="9.0848 -2.9967 0.0000 9.0848 2.9967 0.0000 -5.9813 0.0000 8.5752" Properties=species:S:1:pos:R:3 pbc="T T T"
Ac 0.0000 0.0000 0.0000
Ac -0.5222 0.0000 3.9468
Ac 3.1280 0.0000 2.0721
Ac 9.0603 0.0000 6.5031
Ac 12.7105 0.0000 4.6284
Tb -2.4827 0.0000 6.8365
Tb 14.6710 0.0000 1.7386
Pr 6.5668 0.0000 0.3882
Pr 2.5739 0.0000 6.1368
Pr 6.0941 0.0000 4.2876
Pr 9.6144 0.0000 2.4384
Pr 5.6215 0.0000 8.1870
```



For AcTbPr4, DFT lattice parameters and positions (GGA-PBE) gives the calculated XRD peak list in this record (Cu Kα, 1.54184 Å).

Peak list (10 most intense, 10° ≤ 2θ ≤ 80°, by intensity)
2θ (°)	I_rel
32.61	100.0
29.77	32.1
30.00	31.3
14.76	26.6
14.87	26.2
42.77	24.0
54.66	23.3
54.94	23.0
28.89	21.9
68.33	11.7

Cell and atoms:
```
12
Lattice="6.0025 -3.6100 0.0000 6.0025 3.6100 0.0000 0.0000 0.0000 11.9162" Properties=species:S:1:pos:R:3 pbc="T T T"
Ac 6.0025 3.5923 8.9372
Ac 6.0025 -3.5923 2.9791
Tb 6.0025 0.0195 2.9791
Tb 6.0025 -0.0195 8.9372
Pr 3.0063 1.7585 8.9372
Pr 6.0025 1.7321 0.0039
Pr 6.0025 1.7321 5.9542
Pr 3.0063 -1.7585 2.9791
Pr 8.9987 1.7585 8.9372
Pr 6.0025 -1.7321 11.9124
Pr 6.0025 -1.7321 5.9620
Pr 8.9987 -1.7585 2.9791
```



For Ac8Tb3Pr, DFT lattice parameters and positions (GGA-PBE) gives the calculated XRD peak list in this record (Cu Kα, 1.54184 Å).

Peak list (10 most intense, 10° ≤ 2θ ≤ 80°, by intensity)
2θ (°)	I_rel
29.04	100.0
29.19	50.3
51.72	22.3
57.52	17.6
41.59	12.1
41.73	11.0
51.59	10.3
28.92	10.1
51.30	8.9
57.22	7.8

Cell and atoms:
```
12
Lattice="9.2025 -3.0551 0.0000 9.2025 3.0551 0.0000 -6.1395 0.0000 8.7406" Properties=species:S:1:pos:R:3 pbc="T T T"
Ac 0.0000 0.0000 0.0000
Ac -4.0071 0.0000 5.7721
Ac -1.0336 0.0000 8.1176
Ac 2.5867 0.0000 6.0452
Ac 8.1814 0.0000 1.6572
Ac 5.6094 0.0000 8.4446
Ac 9.1779 0.0000 6.3336
Ac 14.7867 0.0000 1.9426
Tb 3.0325 0.0000 2.2786
Tb 6.0383 0.0000 4.3605
Tb 11.3320 0.0000 3.5591
Pr -0.4304 0.0000 3.9264
```



For Ac4Tb6Pr, DFT lattice parameters and positions (GGA-PBE) gives the calculated XRD peak list in this record (Cu Kα, 1.54184 Å).

Peak list (10 most intense, 10° ≤ 2θ ≤ 80°, by intensity)
2θ (°)	I_rel
28.37	100.0
27.86	82.7
26.86	58.9
30.73	29.8
34.71	29.6
51.89	29.5
33.34	26.2
32.19	23.0
47.03	21.8
49.29	21.6

Cell and atoms:
```
11
Lattice="-3.6554 3.6554 7.9279 3.6554 -3.6554 7.9279 3.6554 3.6554 -7.9279" Properties=species:S:1:pos:R:3 pbc="T T T"
Ac 2.1855 2.1855 -2.8964
Ac 1.4699 -1.4699 10.8243
Ac 1.4699 1.4699 5.0314
Ac -1.4699 1.4699 10.8243
Tb 3.6554 0.0000 0.0000
Tb 2.4866 -2.4866 6.4521
Tb 1.1687 1.1687 1.4758
Tb 0.0000 3.6554 0.0000
Tb -2.4866 2.4866 6.4521
Tb 2.4866 2.4866 9.4037
Pr 0.0000 0.0000 7.9279
```



For Ac2Tb5Pr5, DFT lattice parameters and positions (GGA-PBE) gives the calculated XRD peak list in this record (Cu Kα, 1.54184 Å).

Peak list (10 most intense, 10° ≤ 2θ ≤ 80°, by intensity)
2θ (°)	I_rel
29.60	100.0
49.30	18.4
34.17	17.1
34.27	17.0
34.49	16.8
58.38	14.7
58.52	14.7
58.80	14.6
49.41	12.2
61.39	6.4

Cell and atoms:
```
12
Lattice="7.8725 -2.6006 0.0000 7.8725 2.6006 0.0000 -5.2742 0.0000 10.4651" Properties=species:S:1:pos:R:3 pbc="T T T"
Ac -0.0219 0.0000 2.6286
Ac 10.4928 0.0000 7.8365
Tb 2.6304 0.0000 5.2112
Tb 5.2092 0.0000 2.6228
Tb 7.8725 0.0000 0.0000
Tb 5.2617 0.0000 7.8422
Tb 7.8406 0.0000 5.2539
Pr -2.6371 0.0000 5.2325
Pr 2.6346 0.0000 0.0021
Pr -0.0709 0.0000 7.8143
Pr 10.5418 0.0000 2.6507
Pr 7.8363 0.0000 10.4630
```



For Ac2Tb4Pr7, DFT lattice parameters and positions (GGA-PBE) gives the calculated XRD peak list in this record (Cu Kα, 1.54184 Å).

Peak list (10 most intense, 10° ≤ 2θ ≤ 80°, by intensity)
2θ (°)	I_rel
31.02	100.0
28.74	30.7
34.51	28.6
49.45	26.9
26.56	24.3
27.95	22.5
31.17	19.5
49.76	17.2
57.00	14.6
59.53	13.7

Cell and atoms:
```
13
Lattice="6.3850 0.0000 0.0000 -3.1925 5.5296 0.0000 0.0000 0.0000 13.4244" Properties=species:S:1:pos:R:3 pbc="T T T"
Ac 0.0000 3.6864 0.0000
Ac 3.1925 1.8432 0.0000
Tb 0.0000 0.0000 5.2874
Tb 0.0000 0.0000 8.1370
Tb 0.0000 3.6864 6.7122
Tb 3.1925 1.8432 6.7122
Pr 0.0000 0.0000 0.0000
Pr -1.1862 2.0545 10.3410
Pr -2.0064 3.4751 3.0835
Pr 2.3723 0.0000 10.3410
Pr 1.1862 2.0545 3.0835
Pr 4.0127 0.0000 3.0835
Pr 2.0064 3.4751 10.3410
```



For Ac8Tb3Pr2, DFT lattice parameters and positions (GGA-PBE) gives the calculated XRD peak list in this record (Cu Kα, 1.54184 Å).

Peak list (10 most intense, 10° ≤ 2θ ≤ 80°, by intensity)
2θ (°)	I_rel
28.32	100.0
32.83	45.8
28.49	32.8
55.97	25.1
32.95	22.3
47.02	17.0
47.18	16.7
47.31	16.4
55.84	15.4
56.10	9.9

Cell and atoms:
```
13
Lattice="6.6789 0.0000 0.0000 -1.1272 6.6043 0.0000 -2.2516 -0.4166 11.9264" Properties=species:S:1:pos:R:3 pbc="T T T"
Ac -0.5145 2.6755 1.7733
Ac -0.5757 0.4601 9.2844
Ac 0.5197 5.1666 4.5590
Ac 0.4929 4.0456 8.2974
Ac 2.8071 2.1421 3.6290
Ac 2.7804 1.0212 7.3674
Ac 3.8758 5.7276 2.6420
Ac 3.8146 3.5122 10.1531
Tb 0.5928 6.3150 0.8709
Tb 2.7759 3.3022 0.0000
Tb 2.7073 -0.1273 11.0555
Pr -0.5867 1.5687 5.5200
Pr 3.8868 4.6190 6.4064
```



For Ac4TbPr4, DFT lattice parameters and positions (GGA-PBE) gives the calculated XRD peak list in this record (Cu Kα, 1.54184 Å).

Peak list (10 most intense, 10° ≤ 2θ ≤ 80°, by intensity)
2θ (°)	I_rel
28.60	100.0
33.15	51.2
56.46	45.6
47.58	37.7
76.88	18.6
79.26	17.2
59.22	13.2
69.57	6.1
18.14	2.5
24.55	1.3

Cell and atoms:
```
9
Lattice="-5.7331 5.7331 2.7025 5.7331 -5.7331 2.7025 5.7331 5.7331 -2.7025" Properties=species:S:1:pos:R:3 pbc="T T T"
Ac 1.8996 1.8996 0.0000
Ac 3.8335 -3.8335 2.7025
Ac -3.8335 3.8335 2.7025
Ac 3.8335 3.8335 2.7025
Tb 0.0000 0.0000 2.7025
Pr 5.7331 1.8695 0.0000
Pr 1.8695 5.7331 0.0000
Pr 3.8636 0.0000 2.7025
Pr 0.0000 3.8636 2.7025
```



For AcTb3Pr8, DFT lattice parameters and positions (GGA-PBE) gives the calculated XRD peak list in this record (Cu Kα, 1.54184 Å).

Peak list (10 most intense, 10° ≤ 2θ ≤ 80°, by intensity)
2θ (°)	I_rel
30.09	100.0
29.75	73.8
30.17	66.5
29.40	50.9
30.40	46.9
33.59	43.7
29.56	31.6
58.71	20.6
24.62	14.5
39.30	13.7

Cell and atoms:
```
12
Lattice="7.8886 -4.5397 0.0000 7.8886 4.5397 0.0000 -2.6759 0.0000 6.0290" Properties=species:S:1:pos:R:3 pbc="T T T"
Ac 0.0000 0.0000 0.0000
Tb 3.4868 -1.5014 5.4646
Tb 6.5507 -1.3307 3.0145
Tb 9.6146 -1.5014 0.5644
Pr 0.3747 0.3078 3.8340
Pr 4.8774 1.5998 0.5676
Pr 4.9778 1.5002 4.1531
Pr 3.0716 -0.8566 2.0889
Pr 8.1236 1.5002 1.8760
Pr 8.2240 1.5998 5.4614
Pr 12.7267 0.3078 2.1951
Pr 10.0297 -0.8566 3.9401
```



For Ac3Tb7Pr2, DFT lattice parameters and positions (GGA-PBE) gives the calculated XRD peak list in this record (Cu Kα, 1.54184 Å).

Peak list (10 most intense, 10° ≤ 2θ ≤ 80°, by intensity)
2θ (°)	I_rel
30.48	100.0
30.20	53.7
29.28	32.6
32.52	32.0
30.06	23.7
33.38	20.9
53.81	20.7
27.33	18.2
43.13	18.0
58.35	16.9

Cell and atoms:
```
12
Lattice="2.9597 -19.5777 0.0000 2.9597 19.5777 0.0000 0.0000 0.0000 3.7417" Properties=species:S:1:pos:R:3 pbc="T T T"
Ac 0.0000 0.0000 0.0000
Ac 2.9597 7.2172 1.8708
Ac 2.9597 -7.2172 1.8708
Tb 2.9597 16.6891 1.8708
Tb 2.9597 10.5710 0.0000
Tb 2.9597 3.3770 0.0000
Tb 2.9597 0.0000 1.8708
Tb 2.9597 -3.3770 0.0000
Tb 2.9597 -10.5710 0.0000
Tb 2.9597 -16.6891 1.8708
Pr 2.9597 13.8634 0.0000
Pr 2.9597 -13.8634 0.0000
```



For Ac2Tb2Pr5, DFT lattice parameters and positions (GGA-PBE) gives the calculated XRD peak list in this record (Cu Kα, 1.54184 Å).

Peak list (10 most intense, 10° ≤ 2θ ≤ 80°, by intensity)
2θ (°)	I_rel
31.27	100.0
29.46	96.6
29.94	87.6
30.86	80.0
34.54	55.7
26.65	50.5
51.16	38.3
28.45	36.6
36.53	35.9
57.80	35.9

Cell and atoms:
```
9
Lattice="9.2138 -1.8440 0.0000 9.2138 1.8440 0.0000 -2.4221 0.0000 9.9619" Properties=species:S:1:pos:R:3 pbc="T T T"
Ac -0.1678 0.0000 1.8362
Ac 16.1733 0.0000 8.1258
Tb 4.5990 0.0000 5.9143
Tb 11.4065 0.0000 4.0477
Pr 1.3085 0.0000 7.0197
Pr 3.8697 0.0000 9.7111
Pr 8.0028 0.0000 4.9810
Pr 12.1358 0.0000 0.2508
Pr 14.6970 0.0000 2.9422
```



For AcTbPr14, DFT lattice parameters and positions (GGA-PBE) gives the calculated XRD peak list in this record (Cu Kα, 1.54184 Å).

Peak list (10 most intense, 10° ≤ 2θ ≤ 80°, by intensity)
2θ (°)	I_rel
29.40	100.0
48.97	36.6
34.12	33.8
58.20	29.1
34.01	17.0
58.06	14.7
61.00	12.6
79.35	11.8
79.47	5.9
71.84	3.9

Cell and atoms:
```
16
Lattice="7.4334 0.0000 0.0000 0.0000 7.4334 0.0000 0.0000 0.0000 10.5435" Properties=species:S:1:pos:R:3 pbc="T T T"
Ac 0.0000 0.0000 0.0000
Tb 3.7167 3.7167 0.0000
Pr 0.0000 0.0000 5.2717
Pr 0.0000 3.7167 0.0000
Pr 0.0000 3.7167 5.2717
Pr 1.8824 1.8824 2.6434
Pr 1.8824 1.8824 7.9000
Pr 1.8824 5.5510 2.6434
Pr 1.8824 5.5510 7.9000
Pr 3.7167 0.0000 0.0000
Pr 3.7167 0.0000 5.2717
Pr 3.7167 3.7167 5.2717
Pr 5.5510 1.8824 2.6434
Pr 5.5510 1.8824 7.9000
Pr 5.5510 5.5510 2.6434
Pr 5.5510 5.5510 7.9000
```



For Ac6Tb2Pr3, DFT lattice parameters and positions (GGA-PBE) gives the calculated XRD peak list in this record (Cu Kα, 1.54184 Å).

Peak list (10 most intense, 10° ≤ 2θ ≤ 80°, by intensity)
2θ (°)	I_rel
28.44	100.0
32.94	45.6
28.51	33.0
56.15	30.2
47.34	25.1
33.03	22.6
47.24	16.8
56.03	15.4
56.27	14.9
76.46	10.2

Cell and atoms:
```
11
Lattice="6.6525 0.0000 0.0000 -1.0996 8.5103 0.0000 -2.2104 -2.8453 7.7895" Properties=species:S:1:pos:R:3 pbc="T T T"
Ac -0.4908 2.9174 1.4071
Ac -0.5640 0.4025 4.2765
Ac 0.5961 6.6468 2.0668
Ac 2.7464 -0.9817 5.7228
Ac 3.9065 5.2626 3.5130
Ac 3.8332 2.7476 6.3825
Tb -0.5275 -2.2039 7.1123
Tb 3.8699 7.8689 0.6772
Pr 0.5301 4.0021 5.0138
Pr 2.7764 4.2551 0.0000
Pr 2.8124 1.6629 2.7757
```